No. 1
Starting from a structure optimized by DFT (GGA-PBE), the powder diffractogram of Zn4Ga3 was simulated for Cu Kα (λ = 1.5418 Å).
Kinematic intensities with the Lorentz-polarization factor, no thermal factor.

Structural model:
```
data_Zn4Ga3
_chemical_formula_sum 'Zn8 Ga6'
_cell_length_a 7.4621
_cell_length_b 7.4621
_cell_length_c 4.7887
_cell_angle_alpha 90.00
_cell_angle_beta 90.00
_cell_angle_gamma 120.00
_symmetry_space_group_name_H-M 'P 63/m'
_symmetry_Int_Tables_number 176
_symmetry_space_group_name_Hall '-P 6c'
loop_
_atom_site_label
_atom_site_fract_x
_atom_site_fract_y
_atom_site_fract_z
Zn1 0.0979 0.4897 0.2500
Zn2 0.3333 0.6667 0.7500
Ga1 0.0530 0.2439 0.7500
```

Top 6 peaks for 2θ from 10° to 80°, by intensity:
d (Å)	I/Imax	(hkl)
2.176	100	2 1 1
2.394	30	0 0 2
2.443	24	2 1 0
1.336	19	2 1 3
1.215	18	1 4 2
1.710	15	2 1 2

***

No. 2
Starting from a structure optimized by DFT (GGA-PBE), the powder diffractogram of PrGe2Pt5 was simulated for Cu Kα (λ = 1.5418 Å).
Kinematic intensities with the Lorentz-polarization factor, no thermal factor.

Structural model:
```
data_PrGe2Pt5
_chemical_formula_sum 'Pr2 Ge4 Pt10'
_cell_length_a 4.016
_cell_length_b 7.234
_cell_length_c 9.913
_cell_angle_alpha 90.00
_cell_angle_beta 90.00
_cell_angle_gamma 90.00
_symmetry_space_group_name_H-M 'I m m m'
_symmetry_Int_Tables_number 71
_symmetry_space_group_name_Hall '-I 2 2'
loop_
_atom_site_label
_atom_site_fract_x
_atom_site_fract_y
_atom_site_fract_z
Pr1 0.000 0.000 0.000
Ge1 0.000 0.500 0.251
Pt1 0.000 0.197 0.356
Pt2 0.000 0.500 0.000
```

Top 6 peaks for 2θ from 10° to 80°, by intensity:
d (Å)	I/Imax	(hkl)
2.552	100	1 0 3
2.594	97	1 2 1
2.044	51	0 2 4
1.432	37	2 2 4
2.008	37	2 0 0
2.067	36	1 3 0

***

No. 3
Starting from a structure optimized by DFT (GGA-PBE), the powder diffractogram of Hf2InNi2Sb was simulated for Cu Kα (λ = 1.5418 Å).
Kinematic intensities with the Lorentz-polarization factor, no thermal factor.

Structural model:
```
data_Hf2InNi2Sb
_chemical_formula_sum 'Hf8 In4 Ni8 Sb4'
_cell_length_a 6.099
_cell_length_b 6.099
_cell_length_c 12.225
_cell_angle_alpha 90.00
_cell_angle_beta 90.00
_cell_angle_gamma 90.00
_symmetry_space_group_name_H-M 'I -4 2 d'
_symmetry_Int_Tables_number 122
_symmetry_space_group_name_Hall 'I -4 2bw'
loop_
_atom_site_label
_atom_site_fract_x
_atom_site_fract_y
_atom_site_fract_z
Hf1 0.000 0.000 0.246
In1 0.000 0.000 0.000
Ni1 0.240 0.250 0.625
Sb1 0.000 0.000 0.500
```

Top 6 peaks for 2θ from 10° to 80°, by intensity:
d (Å)	I/Imax	(hkl)
2.158	100	2 2 0
3.052	53	2 0 0
1.246	33	4 2 4
1.762	15	2 2 4
3.524	15	1 1 2
1.364	13	4 2 0

***

No. 4
Starting from a structure optimized by DFT (GGA-PBE), the powder diffractogram of Dy7Cu2Te2 was simulated for Cu Kα (λ = 1.5418 Å).
Kinematic intensities with the Lorentz-polarization factor, no thermal factor.

Structural model:
```
data_Dy7Cu2Te2
_chemical_formula_sum 'Dy14 Cu4 Te4'
_cell_length_a 3.953
_cell_length_b 15.598
_cell_length_c 9.575
_cell_angle_alpha 90.00
_cell_angle_beta 90.00
_cell_angle_gamma 90.00
_symmetry_space_group_name_H-M 'I m m 2'
_symmetry_Int_Tables_number 44
_symmetry_space_group_name_Hall 'I 2 -2'
loop_
_atom_site_label
_atom_site_fract_x
_atom_site_fract_y
_atom_site_fract_z
Dy1 0.000 0.000 0.000
Dy2 0.000 0.129 0.414
Dy3 0.000 0.314 0.618
Dy4 0.000 0.357 0.261
Cu1 0.000 0.238 0.922
Te1 0.000 0.000 0.662
Te2 0.000 0.500 0.762
```

Top 6 peaks for 2θ from 10° to 80°, by intensity:
d (Å)	I/Imax	(hkl)
2.666	100	1 4 1
2.720	67	0 3 3
2.992	51	1 1 2
2.630	50	1 3 2
1.798	30	1 7 2
1.977	29	2 0 0

***

No. 5
Starting from a structure optimized by DFT (GGA-PBE), the powder diffractogram of Hf3ZrBi2As2 was simulated for Cu Kα (λ = 1.5418 Å).
Kinematic intensities with the Lorentz-polarization factor, no thermal factor.

Structural model:
```
data_Hf3ZrBi2As2
_chemical_formula_sum 'Hf3 Zr1 Bi2 As2'
_cell_length_a 3.9535
_cell_length_b 3.9535
_cell_length_c 13.4962
_cell_angle_alpha 90.00
_cell_angle_beta 90.00
_cell_angle_gamma 120.00
_symmetry_space_group_name_H-M 'P 3 m 1'
_symmetry_Int_Tables_number 156
_symmetry_space_group_name_Hall 'P 3 -2"'
loop_
_atom_site_label
_atom_site_fract_x
_atom_site_fract_y
_atom_site_fract_z
Hf1 0.0000 0.0000 0.0000
Hf2 0.0000 0.0000 0.2932
Hf3 0.3333 0.6667 0.4979
Zr1 0.3333 0.6667 0.7934
Bi1 0.0000 0.0000 0.6442
Bi2 0.3333 0.6667 0.1467
As1 0.6667 0.3333 0.3956
As2 0.6667 0.3333 0.8990
```

Top 6 peaks for 2θ from 10° to 80°, by intensity:
d (Å)	I/Imax	(hkl)
2.725	100	1 0 3
1.977	38	1 1 0
1.600	21	0 2 3
1.244	18	2 1 3
3.424	16	1 0 0
1.880	16	0 1 6

***

No. 6
Starting from a structure optimized by DFT (GGA-PBE), the powder diffractogram of Nd2Sm2CCl5 was simulated for Cu Kα (λ = 1.5418 Å).
Kinematic intensities with the Lorentz-polarization factor, no thermal factor.

Structural model:
```
data_Nd2Sm2CCl5
_chemical_formula_sum 'Nd4 Sm4 C2 Cl10'
_cell_length_a 17.607
_cell_length_b 3.834
_cell_length_c 8.008
_cell_angle_alpha 90.00
_cell_angle_beta 104.61
_cell_angle_gamma 90.00
_symmetry_space_group_name_H-M 'C 1 2/m 1'
_symmetry_Int_Tables_number 12
_symmetry_space_group_name_Hall '-C 2y'
loop_
_atom_site_label
_atom_site_fract_x
_atom_site_fract_y
_atom_site_fract_z
Nd1 0.147 0.000 0.086
Sm1 0.001 0.500 0.787
C1 0.000 0.000 0.000
Cl1 0.000 0.000 0.500
Cl2 0.162 0.500 0.350
Cl3 0.168 0.500 0.833
```

Top 6 peaks for 2θ from 10° to 80°, by intensity:
d (Å)	I/Imax	(hkl)
2.769	100	1 1 -2
7.749	84	0 0 1
8.519	49	2 0 0
2.840	48	6 0 0
2.001	42	2 0 -4
3.178	36	3 1 0